Calculated powder X-ray diffraction pattern of Na2NpCrF8 for CuKα, from the GGA+U geometry in Alexandria.
Intensities are scaled so that the largest is 100.

Principal peaks in the range 10 to 80 degrees two-theta, in order of falling intensity:
h k l, two_theta, I (rel.)
0 0 1, 11.06, 100
0 1 0, 16.27, 94
0 1 -2, 26.91, 49
1 -1 0, 27.79, 47
0 0 2, 22.22, 42
0 1 2, 28.39, 41
1 0 0, 22.88, 38
1 0 -1, 25.48, 37
1 1 0, 28.62, 37
0 1 1, 20.21, 32

Cell and atoms:
Lattice parameters (Å, degrees): 3.888 5.460 8.015 93.14 90.05 91.74
Sites, in units of the cell vectors:
Na1 0.007 0.469 0.219
Na2 0.993 0.531 0.781
Np1 0.500 0.000 0.500
Cr1 0.500 0.000 0.000
F1 0.005 0.783 0.547
F2 0.092 0.769 0.029
F3 0.475 0.159 0.234
F4 0.481 0.314 0.678
F5 0.519 0.686 0.322
F6 0.525 0.841 0.766
F7 0.908 0.231 0.971
F8 0.995 0.217 0.453